[1]
# Y7SiSe5
Calculated powder diffractogram, Cu Kα, 1.54184 Å. Input: a cell relaxed with GGA-PBE.

Principal peaks in the range 2θ from 10° to 90°, low angle first:
2theta	I_rel
29.28	61
30.11	45
30.80	100
31.94	71
32.71	54
41.05	43
44.35	31
44.74	41
44.91	39
45.03	30
54.36	20
56.52	31

Structural model:
```
Y7SiSe5
1.0
2.0258 -6.6512 0.0000
2.0258 6.6512 0.0000
0.0000 0.0000 24.0308
Y Si Se
14 2 10
direct
0.0387 0.9613 0.5000
0.1382 0.8618 0.2119
0.1386 0.8614 0.7882
0.3052 0.6948 0.4317
0.3055 0.6945 0.5684
0.4045 0.5955 0.1290
0.4049 0.5951 0.8710
0.5951 0.4049 0.3710
0.5955 0.4045 0.6290
0.6945 0.3055 0.0684
0.6948 0.3052 0.9317
0.8614 0.1386 0.2882
0.8618 0.1382 0.7119
0.9613 0.0387 0.0000
0.3079 0.6921 0.0001
0.6921 0.3079 0.5001
0.0518 0.9482 0.1056
0.0521 0.9479 0.8945
0.2223 0.7777 0.3221
0.2226 0.7774 0.6779
0.4998 0.5002 0.2500
0.5002 0.4998 0.7500
0.7774 0.2226 0.1779
0.7777 0.2223 0.8221
0.9479 0.0521 0.3945
0.9482 0.0518 0.6056
```

---

[2]
# Sm5Se9
Calculated powder diffractogram, Cu Kα, 1.54184 Å. Input: a cell relaxed with GGA-PBE.

Principal peaks in the range 2θ from 10° to 90°, low angle first:
2theta	I_rel
21.10	58
24.11	86
30.40	98
31.07	83
31.89	95
37.10	77
37.50	79
37.77	74
37.96	78
38.99	100
43.82	88
44.22	92

Structural model:
```
Sm5Se9
1.0
9.0981 0.0000 0.0000
-0.0550 9.3037 0.0000
-1.7865 -3.6199 8.4192
Sm Se
10 18
direct
0.0158 0.2650 0.2811
0.1923 0.6490 0.2576
0.1947 0.1354 0.7431
0.3957 0.5385 0.7246
0.4071 0.0666 0.2867
0.5929 0.9334 0.7133
0.6043 0.4615 0.2754
0.8053 0.8646 0.2569
0.8077 0.3510 0.7424
0.9842 0.7350 0.7189
0.0496 0.3384 0.0031
0.0825 0.4077 0.6411
0.1285 0.9977 0.3748
0.1353 0.0011 0.9931
0.2712 0.7943 0.6292
0.3284 0.3959 0.3689
0.3601 0.4540 0.9999
0.4660 0.1314 0.9993
0.4850 0.2045 0.6424
0.5150 0.7955 0.3576
0.5340 0.8686 0.0007
0.6399 0.5460 0.0001
0.6716 0.6041 0.6311
0.7288 0.2057 0.3708
0.8647 0.9989 0.0069
0.8715 0.0023 0.6252
0.9175 0.5923 0.3589
0.9504 0.6616 0.9969
```

---

[3]
# Sm2Se5
Calculated powder diffractogram, Cu Kα, 1.54184 Å. Input: a cell relaxed with GGA-PBE.

Principal peaks in the range 2θ from 10° to 90°, low angle first:
2theta	I_rel
24.34	21
28.89	34
31.43	36
33.07	100
36.63	72
38.36	28
39.00	50
41.72	17
44.94	61
54.31	23
65.44	20
75.31	20

Structural model:
```
Sm2Se5
1.0
2.0170 -21.6353 0.0000
2.0170 21.6353 0.0000
0.0000 0.0000 4.0341
Sm Se
4 10
direct
0.1030 0.8970 0.7500
0.3060 0.6940 0.7500
0.6940 0.3060 0.2500
0.8970 0.1030 0.2500
0.0487 0.9513 0.2500
0.1756 0.8244 0.7500
0.2500 0.7500 0.2500
0.3759 0.6241 0.7500
0.4513 0.5487 0.2500
0.5487 0.4513 0.7500
0.6241 0.3759 0.2500
0.7500 0.2500 0.7500
0.8244 0.1756 0.2500
0.9513 0.0487 0.7500
```

---

[4]
# Sm4SnSe2
Calculated powder diffractogram, Cu Kα, 1.54184 Å. Input: a cell relaxed with GGA-PBE.

Principal peaks in the range 2θ from 10° to 90°, low angle first:
2theta	I_rel
18.74	34
26.62	59
27.01	28
29.92	63
30.61	100
35.53	75
35.76	29
38.00	36
45.13	35
45.44	27
49.96	35
57.13	22

Structural model:
```
Sm4SnSe2
1.0
6.6913 -4.6052 0.0000
6.6913 4.6052 0.0000
-6.6897 0.0000 6.7048
Sm Sn Se
8 2 4
direct
0.1929 0.8059 0.9325
0.1941 0.8071 0.5675
0.2610 0.3721 0.0669
0.3721 0.2610 0.5669
0.6279 0.7390 0.4331
0.7390 0.6279 0.9331
0.8059 0.1929 0.4325
0.8071 0.1941 0.0675
0.1255 0.8745 0.2500
0.8745 0.1255 0.7500
0.0000 0.5000 0.5000
0.5000 0.0000 0.0000
0.5000 0.5000 0.0000
0.5000 0.5000 0.5000
```

---

[5]
# SmSn6Se8
Calculated powder diffractogram, Cu Kα, 1.54184 Å. Input: a cell relaxed with GGA-PBE.

Principal peaks in the range 2θ from 10° to 90°, low angle first:
2theta	I_rel
15.56	52
25.98	24
27.47	43
31.24	45
31.72	100
35.08	18
36.39	53
42.22	24
48.57	20
48.90	43
56.13	19
76.93	23

Structural model:
```
SmSn6Se8
1.0
9.9197 0.0000 0.0000
-4.9598 8.5907 0.0000
0.0000 0.0000 5.6941
Sm Sn Se
1 6 8
direct
0.0000 0.0000 0.0000
0.0932 0.4128 0.8185
0.3195 0.9068 0.8185
0.4128 0.3195 0.1815
0.5872 0.6805 0.8185
0.6805 0.0932 0.1815
0.9068 0.5872 0.1815
0.0040 0.7390 0.7498
0.2610 0.2650 0.7498
0.2650 0.0040 0.2502
0.3333 0.6667 0.0508
0.6667 0.3333 0.9492
0.7350 0.9960 0.7498
0.7390 0.7350 0.2502
0.9960 0.2610 0.2502
```

---

[6]
# Sm2SnSe5
Calculated powder diffractogram, Cu Kα, 1.54184 Å. Input: a cell relaxed with GGA-PBE.

Principal peaks in the range 2θ from 10° to 90°, low angle first:
2theta	I_rel
12.22	79
16.40	87
23.59	77
30.70	77
31.95	100
37.23	18
39.08	41
40.31	50
40.85	32
44.90	78
51.96	32
73.25	23

Structural model:
```
Sm2SnSe5
1.0
2.9122 -7.2449 0.0000
2.9122 7.2449 0.0000
0.0000 0.0000 13.2534
Sm Sn Se
4 2 10
direct
0.1678 0.8322 0.5718
0.1678 0.8322 0.9282
0.8322 0.1678 0.0718
0.8322 0.1678 0.4282
0.1802 0.8198 0.2500
0.8198 0.1802 0.7500
0.0302 0.9698 0.0910
0.0302 0.9698 0.4090
0.2806 0.7194 0.7500
0.3042 0.6958 0.0888
0.3042 0.6958 0.4112
0.6958 0.3042 0.5888
0.6958 0.3042 0.9112
0.7194 0.2806 0.2500
0.9698 0.0302 0.5910
0.9698 0.0302 0.9090
```

---

[7]
# Sm4SnSe2
Calculated powder diffractogram, Cu Kα, 1.54184 Å. Input: a cell relaxed with GGA-PBE.

Principal peaks in the range 2θ from 10° to 90°, low angle first:
2theta	I_rel
28.71	99
29.05	28
29.50	100
31.54	54
38.96	41
42.21	44
44.14	27
44.69	29
51.85	31
54.53	14
71.93	17
76.77	16

Structural model:
```
Sm4SnSe2
1.0
2.1405 -6.7496 0.0000
2.1405 6.7496 0.0000
0.0000 0.0000 14.0243
Sm Sn Se
8 2 4
direct
0.0000 0.0000 0.0000
0.0000 0.0000 0.5000
0.2707 0.7293 0.6224
0.2707 0.7293 0.8776
0.4413 0.5587 0.2500
0.5587 0.4413 0.7500
0.7293 0.2707 0.1224
0.7293 0.2707 0.3776
0.1084 0.8916 0.2500
0.8916 0.1084 0.7500
0.3642 0.6358 0.0602
0.3642 0.6358 0.4398
0.6358 0.3642 0.5602
0.6358 0.3642 0.9398
```

---

[8]
# Sm2SnSe5
Calculated powder diffractogram, Cu Kα, 1.54184 Å. Input: a cell relaxed with GGA-PBE.

Principal peaks in the range 2θ from 10° to 90°, low angle first:
2theta	I_rel
21.66	31
24.54	34
28.61	24
31.44	22
31.88	47
33.12	42
34.42	100
37.00	40
39.78	35
44.66	38
44.90	32
61.33	21

Structural model:
```
Sm2SnSe5
1.0
8.2074 0.0000 0.0000
0.0000 12.1327 0.0000
0.0000 0.0000 4.0578
Sm Sn Se
4 2 10
direct
0.0287 0.1737 0.0000
0.4713 0.6737 0.0000
0.5287 0.3263 0.0000
0.9713 0.8263 0.0000
0.0000 0.5000 0.5000
0.5000 0.0000 0.5000
0.0000 0.0000 0.5000
0.1708 0.4011 0.0000
0.1791 0.6955 0.5000
0.3209 0.1955 0.5000
0.3292 0.9011 0.0000
0.5000 0.5000 0.5000
0.6708 0.0989 0.0000
0.6791 0.8045 0.5000
0.8209 0.3045 0.5000
0.8292 0.5989 0.0000
```

---

[9]
# Sm6SnTe2Se3
Calculated powder diffractogram, Cu Kα, 1.54184 Å. Input: a cell relaxed with GGA-PBE.

Principal peaks in the range 2θ from 10° to 90°, low angle first:
2theta	I_rel
29.23	100
41.61	12
41.80	49
42.05	13
51.56	6
51.71	7
52.01	13
60.64	8
68.60	10
68.73	11
69.05	6
76.67	8

Structural model:
```
Sm6SnTe2Se3
1.0
9.4360 -2.1486 0.0000
9.4360 2.1486 0.0000
-2.0214 0.0000 8.4443
Sm Sn Te Se
6 1 2 3
direct
0.0045 0.0045 0.2467
0.3326 0.3326 0.4337
0.3418 0.3418 0.8995
0.6582 0.6582 0.1005
0.6674 0.6674 0.5663
0.9955 0.9955 0.7533
0.5000 0.5000 0.5000
0.1690 0.1690 0.8380
0.8310 0.8310 0.1620
0.1683 0.1683 0.3343
0.5000 0.5000 0.0000
0.8317 0.8317 0.6657
```

---

[10]
# Sm6TlSn2Se3
Calculated powder diffractogram, Cu Kα, 1.54184 Å. Input: a cell relaxed with GGA-PBE.

Principal peaks in the range 2θ from 10° to 90°, low angle first:
2theta	I_rel
29.15	100
29.36	49
40.25	40
41.35	18
42.04	19
43.40	34
48.79	10
52.10	20
54.16	9
60.44	12
66.66	8
68.98	9

Structural model:
```
Sm6TlSn2Se3
1.0
9.6495 -2.1493 0.0000
9.6495 2.1493 0.0000
-2.8527 0.0000 8.3029
Sm Tl Sn Se
6 1 2 3
direct
0.0073 0.0073 0.2354
0.3279 0.3279 0.4298
0.3342 0.3342 0.9197
0.6658 0.6658 0.0803
0.6721 0.6721 0.5702
0.9927 0.9927 0.7646
0.5000 0.5000 0.5000
0.1614 0.1614 0.8186
0.8386 0.8386 0.1814
0.1682 0.1682 0.3261
0.5000 0.5000 0.0000
0.8318 0.8318 0.6739
```

---

[11]
# SmTmSnSe
Calculated powder diffractogram, Cu Kα, 1.54184 Å. Input: a cell relaxed with GGA-PBE.

Principal peaks in the range 2θ from 10° to 90°, low angle first:
2theta	I_rel
25.53	15
29.34	51
29.67	100
42.21	77
42.45	38
52.44	41
61.60	13
69.15	18
69.67	18
69.85	18
77.01	13
77.51	26

Structural model:
```
SmTmSnSe
1.0
4.2584 0.0000 0.0000
0.0000 4.2584 0.0000
0.0000 0.0000 6.0890
Sm Tm Sn Se
1 1 1 1
direct
0.0000 0.0000 0.0000
0.5000 0.5000 0.5000
0.0000 0.0000 0.5000
0.5000 0.5000 0.0000
```

---

[12]
# SrSm5Se6
Calculated powder diffractogram, Cu Kα, 1.54184 Å. Input: a cell relaxed with GGA-PBE.

Principal peaks in the range 2θ from 10° to 90°, low angle first:
2theta	I_rel
25.96	11
30.03	100
42.91	37
43.06	37
53.13	7
53.35	13
62.41	12
70.67	11
70.78	11
70.95	11
78.78	8
78.90	8

Structural model:
```
SrSm5Se6
1.0
3.6337 -6.3105 0.0000
3.6337 6.3105 0.0000
-2.4273 0.0000 6.8949
Sr Sm Se
1 5 6
direct
0.0000 0.0000 0.0000
0.1636 0.8364 0.5000
0.3326 0.6674 0.0000
0.5000 0.5000 0.5000
0.6674 0.3326 0.0000
0.8364 0.1636 0.5000
0.0851 0.4232 0.2551
0.2550 0.2550 0.7504
0.4232 0.0851 0.2551
0.5768 0.9149 0.7449
0.7450 0.7450 0.2496
0.9149 0.5768 0.7449
```